The following is a computed PXRD pattern of FeHgP2O8. It was derived from a cell relaxed with PBE+U, using Cu Ka.
Neutral-atom scattering factors, no anomalous dispersion.

Cell and atoms:
abc: 7.8547 7.8547 7.8547
angles: 34.52 34.52 34.52
Fractional positions:
Fe  0.0000  0.0000  0.0000
Hg  0.5000  0.5000  0.5000
P  0.2600  0.2600  0.2600
P  0.7400  0.7400  0.7400
O  0.0228  0.3914  0.7410
O  0.1896  0.1896  0.1896
O  0.2590  0.9772  0.6086
O  0.3914  0.7410  0.0228
O  0.6086  0.2590  0.9772
O  0.7410  0.0228  0.3914
O  0.8104  0.8104  0.8104
O  0.9772  0.6086  0.2590

Peak list (10 most intense, 2θ = 10–90°, sorted by position)
- 22.4 deg, rel. 22.0
- 23.5 deg, rel. 35.4
- 27.3 deg, rel. 100.0
- 38.6 deg, rel. 33.8
- 39.5 deg, rel. 25.7
- 40.6 deg, rel. 24.8
- 46.1 deg, rel. 27.8
- 48.0 deg, rel. 17.6
- 63.2 deg, rel. 20.8
- 64.4 deg, rel. 17.2